# 1
Calculated powder diffractogram of Nd3Ga4Rh4 for a wavelength of 1.5418 Å, from a structure optimized by DFT (PBE).
Kinematic intensities with the Lorentz-polarization factor, no thermal factor.

Structure:
abc: 8.2714 8.2714 8.2714
angles: 149.97 130.17 59.28
Fractional coordinates of all 11 atoms:
Nd 0.0000 0.0000 0.0000
Nd 0.3626 0.8626 0.5000
Nd 0.6374 0.1374 0.5000
Ga 0.2097 0.2097 0.0000
Ga 0.3108 0.5000 0.8108
Ga 0.6892 0.5000 0.1892
Ga 0.7903 0.7903 0.0000
Rh 0.0326 0.3280 0.7046
Rh 0.3765 0.6720 0.7046
Rh 0.6235 0.3280 0.2954
Rh 0.9674 0.6720 0.2954

Peak list (10 most intense, 2θ = 5–70°, low angle first)
2theta, intensity
27.40, 11
33.73, 100
35.03, 64
37.53, 26
38.22, 29
42.17, 35
43.28, 27
46.08, 25
57.72, 19
62.02, 23

# 2
Calculated powder diffractogram of Nd5GaRh2 for a wavelength of 1.5418 Å, from a structure optimized by DFT (PBE).
Kinematic intensities with the Lorentz-polarization factor, no thermal factor.

Structure:
abc: 8.8012 8.8012 8.8012
angles: 126.32 126.32 79.36
Fractional coordinates of all 16 atoms:
Nd 0.0000 0.0000 0.0000
Nd 0.0240 0.5240 0.8273
Nd 0.1967 0.0240 0.5000
Nd 0.3033 0.8033 0.8273
Nd 0.4760 0.3033 0.5000
Nd 0.5000 0.5000 0.0000
Nd 0.5240 0.6967 0.5000
Nd 0.6967 0.1967 0.1727
Nd 0.8033 0.9760 0.5000
Nd 0.9760 0.4760 0.1727
Ga 0.2500 0.2500 0.0000
Ga 0.7500 0.7500 0.0000
Rh 0.1343 0.3657 0.5000
Rh 0.3657 0.8657 0.2314
Rh 0.6343 0.1343 0.7686
Rh 0.8657 0.6343 0.5000

Peak list (10 most intense, 2θ = 5–70°, low angle first)
2theta, intensity
13.07, 12
30.83, 14
32.05, 100
34.81, 27
35.73, 51
41.93, 14
51.55, 14
56.11, 13
66.58, 16
66.68, 14

# 3
Calculated powder diffractogram of NdGa8Rh2 for a wavelength of 1.5418 Å, from a structure optimized by DFT (PBE).
Kinematic intensities with the Lorentz-polarization factor, no thermal factor.

Structure:
abc: 6.3762 6.3762 5.2979
angles: 90.00 90.00 90.00
Fractional coordinates of all 11 atoms:
Nd 0.0000 0.0000 0.0000
Ga 0.2948 0.2948 0.2506
Ga 0.2948 0.2948 0.7494
Ga 0.2948 0.7052 0.2506
Ga 0.2948 0.7052 0.7494
Ga 0.7052 0.2948 0.2506
Ga 0.7052 0.2948 0.7494
Ga 0.7052 0.7052 0.2506
Ga 0.7052 0.7052 0.7494
Rh 0.0000 0.5000 0.5000
Rh 0.5000 0.0000 0.5000

Peak list (10 most intense, 2θ = 5–70°, low angle first)
2theta, intensity
21.81, 19
25.95, 75
31.37, 29
36.74, 22
39.99, 56
42.53, 27
44.47, 100
48.30, 27
57.84, 11
63.22, 25

# 4
Calculated powder diffractogram of Nd2Ga4Rh3 for a wavelength of 1.5418 Å, from a structure optimized by DFT (PBE).
Kinematic intensities with the Lorentz-polarization factor, no thermal factor.

Structure:
abc: 8.0277 6.9797 5.5836
angles: 78.57 58.45 42.98
Fractional coordinates of all 9 atoms:
Nd 0.1272 0.1272 0.8728
Nd 0.8728 0.8728 0.1272
Ga 0.1705 0.5136 0.4864
Ga 0.4864 0.8295 0.1705
Ga 0.5136 0.1705 0.8295
Ga 0.8295 0.4864 0.5136
Rh 0.0000 0.0000 0.5000
Rh 0.5000 0.5000 0.0000
Rh 0.5000 0.5000 0.5000

Peak list (10 most intense, 2θ = 5–70°, low angle first)
2theta, intensity
13.83, 32
27.91, 26
32.21, 25
32.83, 27
37.30, 29
38.53, 100
39.84, 42
39.96, 34
43.10, 35
61.67, 25

# 5
Calculated powder diffractogram of Nd2GaSiRh6 for a wavelength of 1.5418 Å, from a structure optimized by DFT (PBE).
Kinematic intensities with the Lorentz-polarization factor, no thermal factor.

Structure:
abc: 6.4383 6.4383 6.4383
angles: 120.08 119.92 90.00
Fractional coordinates of all 10 atoms:
Nd 0.2500 0.2500 0.0000
Nd 0.7500 0.7500 0.0000
Ga 0.5000 0.0000 0.5000
Si 0.0000 0.5000 0.5000
Rh 0.2438 0.2562 0.5000
Rh 0.2438 0.7438 0.5000
Rh 0.2438 0.7438 0.9876
Rh 0.7562 0.2562 0.0124
Rh 0.7562 0.2562 0.5000
Rh 0.7562 0.7438 0.5000

Peak list (10 most intense, 2θ = 5–70°, low angle first)
2theta, intensity
27.71, 13
34.11, 100
39.59, 77
43.31, 1
49.01, 5
57.22, 43
57.31, 9
64.74, 2
68.31, 26
68.39, 13

# 6
Calculated powder diffractogram of NdGa2SiRh for a wavelength of 1.5418 Å, from a structure optimized by DFT (PBE).
Kinematic intensities with the Lorentz-polarization factor, no thermal factor.

Structure:
abc: 6.1705 6.1705 6.1705
angles: 141.39 141.26 55.84
Fractional coordinates of all 5 atoms:
Nd 0.0000 0.0000 0.0000
Ga 0.3852 0.3852 0.0000
Ga 0.7479 0.2479 0.5000
Si 0.6125 0.6125 0.0000
Rh 0.2363 0.7363 0.5000

Peak list (10 most intense, 2θ = 5–70°, low angle first)
2theta, intensity
23.23, 16
32.85, 13
32.99, 44
35.15, 100
44.26, 20
44.41, 20
47.24, 22
56.27, 17
60.15, 13
66.80, 15

# 7
Calculated powder diffractogram of Nd2Sm2GaRh4 for a wavelength of 1.5418 Å, from a structure optimized by DFT (PBE).
Kinematic intensities with the Lorentz-polarization factor, no thermal factor.

Structure:
abc: 6.5037 6.5037 6.5037
angles: 117.63 117.63 94.16
Fractional coordinates of all 9 atoms:
Nd 0.2500 0.7500 0.5000
Nd 0.7500 0.2500 0.5000
Sm 0.1827 0.1827 0.0000
Sm 0.8173 0.8173 0.0000
Ga 0.5000 0.5000 0.0000
Rh 0.2427 0.2427 0.4853
Rh 0.2427 0.7573 0.0000
Rh 0.7573 0.2427 0.0000
Rh 0.7573 0.7573 0.5147

Peak list (10 most intense, 2θ = 5–70°, low angle first)
2theta, intensity
26.47, 7
33.13, 17
33.43, 100
37.78, 60
40.75, 12
42.89, 21
51.11, 7
54.49, 20
56.77, 17
65.46, 28

# 8
Calculated powder diffractogram of TbNd2Ga3Rh4 for a wavelength of 1.5418 Å, from a structure optimized by DFT (PBE).
Kinematic intensities with the Lorentz-polarization factor, no thermal factor.

Structure:
abc: 4.2938 4.2938 10.9341
angles: 90.00 90.00 90.00
Fractional coordinates of all 10 atoms:
Tb 0.0000 0.0000 0.0000
Nd 0.0000 0.5000 0.7210
Nd 0.5000 0.0000 0.2790
Ga 0.0000 0.5000 0.3836
Ga 0.5000 0.0000 0.6164
Ga 0.5000 0.5000 0.0000
Rh 0.0000 0.0000 0.5000
Rh 0.0000 0.5000 0.1537
Rh 0.5000 0.0000 0.8463
Rh 0.5000 0.5000 0.5000

Peak list (10 most intense, 2θ = 5–70°, low angle first)
2theta, intensity
26.39, 10
32.22, 35
33.77, 100
39.06, 16
42.09, 54
44.60, 21
46.61, 15
53.97, 16
61.04, 18
64.59, 11

# 9
Calculated powder diffractogram of Nd2TmGa3Rh4 for a wavelength of 1.5418 Å, from a structure optimized by DFT (PBE).
Kinematic intensities with the Lorentz-polarization factor, no thermal factor.

Structure:
abc: 4.2861 4.2861 10.8509
angles: 90.00 90.00 90.00
Fractional coordinates of all 10 atoms:
Nd 0.0000 0.5000 0.2230
Nd 0.5000 0.0000 0.7770
Tm 0.0000 0.0000 0.5000
Ga 0.0000 0.5000 0.8824
Ga 0.5000 0.0000 0.1176
Ga 0.5000 0.5000 0.5000
Rh 0.0000 0.0000 0.0000
Rh 0.0000 0.5000 0.6507
Rh 0.5000 0.0000 0.3493
Rh 0.5000 0.5000 0.0000

Peak list (10 most intense, 2θ = 5–70°, low angle first)
2theta, intensity
26.50, 10
32.39, 36
33.88, 100
39.31, 13
42.17, 54
44.84, 22
46.93, 16
54.15, 17
61.16, 18
64.91, 12

# 10
Calculated powder diffractogram of Nd2UGaRh6 for a wavelength of 1.5418 Å, from a structure optimized by DFT (PBE).
Kinematic intensities with the Lorentz-polarization factor, no thermal factor.

Structure:
abc: 5.7348 6.4349 6.5315
angles: 73.54 64.07 63.64
Fractional coordinates of all 10 atoms:
Nd 0.0051 0.2594 0.2304
Nd 0.9949 0.7406 0.7696
U 0.5000 0.0000 0.5000
Ga 0.5000 0.5000 0.0000
Rh 0.0058 0.1912 0.7939
Rh 0.3263 0.4278 0.4214
Rh 0.4911 0.8098 0.2050
Rh 0.5089 0.1902 0.7950
Rh 0.6737 0.5722 0.5786
Rh 0.9942 0.8088 0.2061

Peak list (10 most intense, 2θ = 5–70°, low angle first)
2theta, intensity
28.09, 39
29.49, 56
29.80, 57
34.86, 28
36.43, 42
37.61, 99
39.06, 32
41.68, 100
42.38, 58
46.82, 27

# 11
Calculated powder diffractogram of Nd5GaRu2 for a wavelength of 1.5418 Å, from a structure optimized by DFT (PBE).
Kinematic intensities with the Lorentz-polarization factor, no thermal factor.

Structure:
abc: 8.8214 8.8214 8.8214
angles: 126.70 126.70 78.74
Fractional coordinates of all 16 atoms:
Nd 0.0000 0.0000 0.0000
Nd 0.0269 0.5269 0.8277
Nd 0.1992 0.0269 0.5000
Nd 0.3008 0.8008 0.8277
Nd 0.4731 0.3008 0.5000
Nd 0.5000 0.5000 0.0000
Nd 0.5269 0.6992 0.5000
Nd 0.6992 0.1992 0.1723
Nd 0.8008 0.9731 0.5000
Nd 0.9731 0.4731 0.1723
Ga 0.2500 0.2500 0.0000
Ga 0.7500 0.7500 0.0000
Ru 0.1371 0.3629 0.5000
Ru 0.3629 0.8629 0.2258
Ru 0.6371 0.1371 0.7742
Ru 0.8629 0.6371 0.5000

Peak list (10 most intense, 2θ = 5–70°, low angle first)
2theta, intensity
12.98, 13
30.71, 14
32.04, 100
34.73, 26
35.89, 48
41.81, 17
51.68, 20
53.74, 13
66.34, 13
66.91, 16

# 12
Calculated powder diffractogram of Nd3Ga6Ru5 for a wavelength of 1.5418 Å, from a structure optimized by DFT (PBE).
Kinematic intensities with the Lorentz-polarization factor, no thermal factor.

Structure:
abc: 4.0650 12.2639 10.2394
angles: 90.00 90.00 90.00
Fractional coordinates of all 28 atoms:
Nd 0.2500 0.0623 0.2461
Nd 0.2500 0.4377 0.2461
Nd 0.2500 0.7500 0.2560
Nd 0.7500 0.2500 0.7440
Nd 0.7500 0.5623 0.7539
Nd 0.7500 0.9377 0.7539
Ga 0.2500 0.0801 0.6164
Ga 0.2500 0.2500 0.0558
Ga 0.2500 0.2500 0.4410
Ga 0.2500 0.4199 0.6164
Ga 0.2500 0.5936 0.9755
Ga 0.2500 0.9064 0.9755
Ga 0.7500 0.0936 0.0245
Ga 0.7500 0.4064 0.0245
Ga 0.7500 0.5801 0.3836
Ga 0.7500 0.7500 0.5590
Ga 0.7500 0.7500 0.9442
Ga 0.7500 0.9199 0.3836
Ru 0.2500 0.1065 0.8751
Ru 0.2500 0.3935 0.8751
Ru 0.2500 0.6174 0.5258
Ru 0.2500 0.7500 0.7653
Ru 0.2500 0.8826 0.5258
Ru 0.7500 0.1174 0.4742
Ru 0.7500 0.2500 0.2347
Ru 0.7500 0.3826 0.4742
Ru 0.7500 0.6065 0.1249
Ru 0.7500 0.8935 0.1249

Peak list (10 most intense, 2θ = 5–70°, low angle first)
2theta, intensity
31.03, 14
34.09, 13
34.27, 48
35.75, 100
37.40, 19
37.77, 13
42.37, 18
44.32, 19
44.58, 32
68.93, 15

# 13
Calculated powder diffractogram of NdGa4Ru for a wavelength of 1.5418 Å, from a structure optimized by DFT (PBE).
Kinematic intensities with the Lorentz-polarization factor, no thermal factor.

Structure:
abc: 7.7382 4.1408 7.0632
angles: 90.00 90.00 90.00
Fractional coordinates of all 12 atoms:
Nd 0.2500 0.0000 0.1318
Nd 0.7500 0.0000 0.8682
Ga 0.0000 0.0000 0.5000
Ga 0.0668 0.5000 0.8208
Ga 0.2500 0.5000 0.4580
Ga 0.4332 0.5000 0.8208
Ga 0.5000 0.0000 0.5000
Ga 0.5668 0.5000 0.1792
Ga 0.7500 0.5000 0.5420
Ga 0.9332 0.5000 0.1792
Ru 0.2500 0.0000 0.6981
Ru 0.7500 0.0000 0.3019

Peak list (10 most intense, 2θ = 5–70°, low angle first)
2theta, intensity
22.99, 20
31.65, 32
34.16, 82
35.36, 100
38.23, 21
40.03, 19
40.89, 68
43.44, 26
43.72, 48
46.97, 19